# Li2Hg4F9
Simulated powder XRD pattern, Cu Kα. Input: a structure optimized by DFT (GGA-PBE).
Kinematic intensities with the Lorentz-polarization factor, no thermal factor.

Cell and atoms:
a b c (Å): 5.681 5.708 15.839
angles (deg): 83.40 85.32 62.22
Space group P-1 (No. 2)
Unique sites:
Li  0.001  0.069  0.186 [2 per cell]
Li  0.013  0.964  0.630 [2 per cell]
Hg  0.311  0.398  0.314 [2 per cell]
Hg  0.322  0.317  0.547 [2 per cell]
Hg  0.331  0.450  0.048 [2 per cell]
Hg  0.335  0.281  0.803 [2 per cell]
F  0.017  0.364  0.109 [2 per cell]
F  0.045  0.296  0.431 [2 per cell]
F  0.115  0.231  0.686 [2 per cell]
F  0.258  0.673  0.729 [2 per cell]
F  0.270  0.054  0.272 [2 per cell]
F  0.273  0.968  0.874 [2 per cell]
F  0.274  0.685  0.178 [2 per cell]
F  0.296  0.683  0.415 [2 per cell]
F  0.377  0.884  0.568 [2 per cell]

Peak list (10 most intense, 2θ = 5–70°, most intense first)
| 2θ (°) | d/Å | Rel. int. |
| --- | --- | --- |
| 17.6 | 5.029 | 100 |
| 27.5 | 3.239 | 84 |
| 28.4 | 3.145 | 61 |
| 31.6 | 2.830 | 56 |
| 30.9 | 2.894 | 43 |
| 30.4 | 2.941 | 38 |
| 29.3 | 3.049 | 28 |
| 35.7 | 2.514 | 23 |
| 52.8 | 1.733 | 22 |
| 18.3 | 4.843 | 22 |